Starting from a structure optimized by DFT (GGA-PBE), the PXRD pattern of K2InBi2Pb was calculated for a wavelength of 1.5418 Å.
Kinematic intensities with the Lorentz-polarization factor, no thermal factor.

Structural model:
```
K2InBi2Pb
1.0
-3.9430 8.0075 3.8319
3.9430 -8.0075 3.8319
3.9430 8.0075 -3.8319
K In Bi Pb
4 2 4 2
direct
0.1649 0.2427 0.4076
0.3351 0.7427 0.0778
0.6649 0.2573 0.9222
0.8351 0.7573 0.5924
0.2500 0.2500 0.0000
0.7500 0.7500 0.0000
0.1039 0.7656 0.8696
0.3961 0.2656 0.6617
0.6039 0.7344 0.3383
0.8961 0.2344 0.1304
0.2500 0.7500 0.5000
0.7500 0.2500 0.5000
```

Largest 12 diffraction maxima, by angle, 2θ from 5° to 70°:
d/Å, intensity
8.008, 100
4.531, 77
3.236, 26
2.809, 60
2.768, 59
2.748, 72
2.599, 32
2.210, 17
2.190, 17
1.915, 20
1.606, 21
1.583, 22